Simulated XRD peak list of DyY12Tm7 for λ = 1.5418 Å (Cu Kα), from a DFT-relaxed cell (PBE, Alexandria).
Lines closer than 0.1° are merged.

Principal peaks in the range 15° ≤ 2θ ≤ 90°, most intense first:
2θ (°)  Rel. int.
32.0  100
29.8  48
39.5  37
30.9  36
42.4  34
55.7  19
20.7  16
27.5  14
59.6  13
51.5  13

Crystal structure
```
20
Lattice="6.3928 3.6909 4.5307 -6.3928 3.6909 4.5307 0.0000 -7.3818 4.5307" Properties=species:S:1:pos:R:3 pbc="T T T"
Dy 0.0000 0.0000 0.0000
Y -2.1108 -0.7582 4.7307
Y -0.8117 -3.7137 5.6504
Y -3.6220 -1.1539 7.9418
Y -2.8103 2.5598 5.6504
Y 1.7120 -1.4489 4.7307
Y 0.3988 2.2071 4.7307
Y -0.3987 -2.2071 8.8616
Y -1.7120 1.4489 8.8616
Y 2.8103 -2.5598 7.9418
Y 3.6220 1.1539 5.6504
Y 0.8117 3.7137 7.9418
Y 2.1108 0.7582 8.8615
Tm -2.1097 0.7631 2.0736
Tm 0.3940 -2.2086 2.0736
Tm 1.7157 1.4455 2.0736
Tm 0.0000 0.0000 6.7961
Tm -1.7157 -1.4455 11.5186
Tm -0.3940 2.2086 11.5186
Tm 2.1097 -0.7631 11.5186
```

---

Simulated XRD peak list of AcCd6Au3 for λ = 1.5418 Å (Cu Kα), from a DFT-relaxed cell (PBE, Alexandria).
Lines closer than 0.1° are merged.

Principal peaks in the range 15° ≤ 2θ ≤ 90°, most intense first:
2θ (°)  Rel. int.
37.9  100
34.3  75
33.9  66
38.3  64
36.7  64
31.3  54
32.1  46
32.5  37
35.8  25
29.3  21

Crystal structure
```
20
Lattice="9.4205 0.0000 0.0000 0.0000 4.7482 0.0000 -0.5703 0.0000 10.3358" Properties=species:S:1:pos:R:3 pbc="T T T"
Ac 0.6257 1.1871 2.5868
Ac 8.2245 3.5612 7.7490
Cd 0.9422 1.1871 6.5607
Cd 2.2831 3.5612 0.2308
Cd 2.7213 3.5612 7.2252
Cd 3.3848 3.5612 3.0960
Cd 3.0868 1.1871 9.0737
Cd 3.4356 1.1871 4.9477
Cd 5.4146 3.5612 5.3881
Cd 5.7634 3.5612 1.2621
Cd 5.4654 1.1871 7.2398
Cd 6.1289 1.1871 3.1106
Cd 6.5671 1.1871 10.1050
Cd 7.9080 3.5612 3.7752
Au 0.1385 1.1871 9.5201
Au 1.1579 3.5612 4.8449
Au 3.7647 1.1871 1.5244
Au 5.0855 3.5612 8.8115
Au 7.6923 1.1871 5.4910
Au 8.7117 3.5612 0.8157
```